[1]
Starting from a PBE-relaxed structure, the powder diffractogram of FeH5 was calculated for copper Kα.
No peak broadening, texture or thermal motion is included.

Largest 8 diffraction maxima, most intense first, 2θ = 10–90°:
2θ (°)	d_spacing	intensity	hkl
34.0	2.640	100	1 0 1
12.8	6.920	52	0 0 2
47.1	1.929	52	1 0 5
25.7	3.460	44	0 0 4
47.8	1.902	26	1 1 0
63.4	1.467	19	1 1 6
55.1	1.666	19	1 1 4
39.1	2.307	18	0 0 6

Cell and atoms:
```
data_FeH5
_chemical_formula_sum 'Fe4 H20'
_cell_length_a 2.6893
_cell_length_b 2.6893
_cell_length_c 13.8394
_cell_angle_alpha 90.00
_cell_angle_beta 90.00
_cell_angle_gamma 90.00
_symmetry_space_group_name_H-M 'I 4/m m m'
_symmetry_Int_Tables_number 139
_symmetry_space_group_name_Hall '-I 4 2'
loop_
_atom_site_label
_atom_site_fract_x
_atom_site_fract_y
_atom_site_fract_z
Fe1 0.0000 0.0000 0.0954
H1 0.0000 0.0000 0.2067
H2 0.0000 0.0000 0.4123
H3 0.0000 0.5000 0.0000
H4 0.0000 0.5000 0.1640
```

=====

[2]
Starting from a PBE-relaxed structure, the powder diffractogram of LaFe5H12 was calculated for copper Kα.
No peak broadening, texture or thermal motion is included.

Largest 8 diffraction maxima, most intense first, 2θ = 10–90°:
2θ (°)	d_spacing	intensity	hkl
38.1	2.362	100	1 1 1
27.9	3.203	44	1 0 1
36.3	2.473	36	2 0 0
31.3	2.855	33	1 1 0
60.3	1.535	24	3 0 1
43.0	2.101	21	0 0 2
57.6	1.601	19	2 0 2
81.5	1.181	18	2 2 2

Cell and atoms:
```
data_LaFe5H12
_chemical_formula_sum 'La1 Fe5 H12'
_cell_length_a 5.7108
_cell_length_b 5.7108
_cell_length_c 4.2026
_cell_angle_alpha 90.00
_cell_angle_beta 90.00
_cell_angle_gamma 120.00
_symmetry_space_group_name_H-M 'P 6/m m m'
_symmetry_Int_Tables_number 191
_symmetry_space_group_name_Hall '-P 6 2'
loop_
_atom_site_label
_atom_site_fract_x
_atom_site_fract_y
_atom_site_fract_z
La1 0.0000 0.0000 0.0000
Fe1 0.0000 0.5000 0.5000
Fe2 0.3333 0.6667 0.0000
H1 0.2112 0.4225 0.2657
```